K3Pm6F20: computed XRD peak list (Cu Kα), based on the GGA-PBE geometry in Alexandria.
Lines closer than 0.1° are merged.

Main lines, most intense first (2θ from 10° to 90°):
3.485 Å, 2θ 25.56, intensity 100; 2.134 Å, 2θ 42.36, intensity 56; 1.820 Å, 2θ 50.13, intensity 51; 3.018 Å, 2θ 29.60, intensity 45; 6.036 Å, 2θ 14.68, intensity 30; 2.323 Å, 2θ 38.76, intensity 19; 1.232 Å, 2θ 77.47, intensity 16; 1.385 Å, 2θ 67.66, intensity 15; 4.268 Å, 2θ 20.81, intensity 15; 1.742 Å, 2θ 52.52, intensity 13

Structural model:
a = 8.536 Å, b = 8.536 Å, c = 8.536 Å
α = 60.00°, β = 60.00°, γ = 60.00°
Element x y z (fractional)
K1 0.000 0.000 0.000
K2 0.250 0.250 0.250
K3 0.750 0.750 0.750
Pm1 0.270 0.270 0.730
Pm2 0.270 0.730 0.270
Pm3 0.270 0.730 0.730
Pm4 0.730 0.270 0.270
Pm5 0.730 0.270 0.730
Pm6 0.730 0.730 0.270
F1 0.000 0.000 0.323
F2 0.000 0.000 0.677
F3 0.000 0.323 0.000
F4 0.000 0.323 0.677
F5 0.000 0.677 0.000
F6 0.000 0.677 0.323
F7 0.142 0.619 0.619
F8 0.323 0.000 0.000
F9 0.323 0.000 0.677
F10 0.323 0.677 0.000
F11 0.381 0.381 0.381
F12 0.381 0.381 0.858
F13 0.381 0.858 0.381
F14 0.619 0.142 0.619
F15 0.619 0.619 0.142
F16 0.619 0.619 0.619
F17 0.677 0.000 0.000
F18 0.677 0.000 0.323
F19 0.677 0.323 0.000
F20 0.858 0.381 0.381